This entry pairs a crystal structure of Tm2GaSi4Pt3 with its calculated X-ray diffraction stick pattern. Radiation: Cu Kα, 1.54184 Å. Structure: a crystal structure in Alexandria, relaxed with PBE.
No peak broadening, texture or thermal motion is included.

Top 10 peaks for 10 to 80 degrees two-theta, by angle:
hkl  2θ/deg  Rel. int.
1 0 2  27.8  53.9
1 1 0  31.4  29.7
1 1 1  32.5  45.9
1 0 3  33.8  87.2
1 1 2  35.8  100.0
2 0 0  44.9  65.0
1 0 5  48.7  43.6
2 1 3  57.4  38.8
2 1 5  68.4  31.8
3 1 2  76.9  21.8

Cell and atoms:
Unit cell a=4.034 b=4.034 c=10.561 alpha=90.00 beta=90.00 gamma=90.00
Space group P-4m2 (No. 115)
Symmetry-distinct sites (fractional):
Tm  0.000  0.500  0.243
Ga  0.500  0.500  0.000
Si  0.000  0.000  0.500
Si  0.000  0.500  0.855
Si  0.500  0.500  0.500
Pt  0.000  0.000  0.000
Pt  0.000  0.500  0.631

---

This entry pairs a crystal structure of Sm3Ga2Pt6 with its calculated X-ray diffraction stick pattern. Radiation: Cu Kα, 1.54184 Å. Structure: a crystal structure in Alexandria, relaxed with PBE.
No peak broadening, texture or thermal motion is included.

Top 10 peaks for 10 to 80 degrees two-theta, by angle:
hkl  2θ/deg  Rel. int.
1 1 0  13.0  26.7
2 2 0  26.2  9.5
3 1 0  29.4  13.4
3 2 1  34.9  28.7
4 0 0  37.4  11.7
3 3 0  39.8  100.0
6 0 0  57.6  12.4
5 3 2  59.3  15.4
6 2 2  64.3  8.8
6 3 3  72.3  28.1

Cell and atoms:
Unit cell a=9.609 b=9.609 c=9.609 alpha=90.00 beta=90.00 gamma=90.00
Space group Im-3m (No. 229)
Symmetry-distinct sites (fractional):
Sm  0.000  0.000  0.298
Ga  0.250  0.250  0.250
Pt  0.000  0.323  0.323

---

This entry pairs a crystal structure of Sm2Ga3Pt with its calculated X-ray diffraction stick pattern. Radiation: Cu Kα, 1.54184 Å. Structure: a crystal structure in Alexandria, relaxed with PBE.
No peak broadening, texture or thermal motion is included.

Top 10 peaks for 10 to 80 degrees two-theta, by angle:
hkl  2θ/deg  Rel. int.
1 1 1  32.8  54.5
3 1 -1  33.2  25.2
0 0 2  33.4  41.2
1 1 -2  33.5  82.4
3 1 -2  33.9  100.0
4 0 -2  34.3  33.7
4 0 -3  39.0  24.8
0 2 0  40.2  66.7
3 1 0  40.5  96.1
0 2 2  53.2  26.8

Cell and atoms:
Unit cell a=10.482 b=4.488 c=7.317 alpha=90.00 beta=132.76 gamma=90.00
Space group Cm (No. 8)
Symmetry-distinct sites (fractional):
Sm  0.000  0.000  0.000
Sm  0.089  0.000  0.597
Ga  0.200  0.500  0.001
Ga  0.209  0.500  0.404
Ga  0.378  0.000  0.203
Pt  0.376  0.000  0.587

---

This entry pairs a crystal structure of Sm2GaPt3 with its calculated X-ray diffraction stick pattern. Radiation: Cu Kα, 1.54184 Å. Structure: a crystal structure in Alexandria, relaxed with PBE.
No peak broadening, texture or thermal motion is included.

Top 10 peaks for 10 to 80 degrees two-theta, by angle:
hkl  2θ/deg  Rel. int.
0 0 4  24.0  9.4
1 0 3  29.3  20.9
1 0 4  33.5  100.0
1 1 0  40.3  76.3
1 1 4  47.4  9.5
1 0 7  49.1  13.2
2 0 4  53.3  26.9
1 1 8  65.4  23.0
2 1 4  68.9  25.0
3 0 0  73.2  13.3

Cell and atoms:
Unit cell a=4.4806 b=4.4806 c=14.8028 alpha=90.00 beta=90.00 gamma=120.00
Space group P6_3/mmc (No. 194)
Symmetry-distinct sites (fractional):
Sm  0.0000  0.0000  0.1225
Ga  0.3333  0.6667  0.2500
Pt  0.3333  0.6667  0.0210
Pt  0.3333  0.6667  0.7500

---

This entry pairs a crystal structure of Sm3GaPt3 with its calculated X-ray diffraction stick pattern. Radiation: Cu Kα, 1.54184 Å. Structure: a crystal structure in Alexandria, relaxed with PBE.
No peak broadening, texture or thermal motion is included.

Top 10 peaks for 10 to 80 degrees two-theta, by angle:
hkl  2θ/deg  Rel. int.
1 1 3  32.0  49.2
1 1 -4  32.4  100.0
4 0 -2  32.8  90.9
3 1 -4  37.0  48.9
0 0 6  38.6  31.5
4 0 -5  38.8  24.9
3 1 2  39.4  84.6
0 2 0  43.8  50.7
4 2 -2  55.7  22.2
7 1 -3  63.6  28.2

Cell and atoms:
Unit cell a=10.956 b=4.132 c=14.835 alpha=90.00 beta=109.40 gamma=90.00
Space group C2/m (No. 12)
Symmetry-distinct sites (fractional):
Sm  0.021  0.000  0.384
Sm  0.107  0.000  0.924
Sm  0.238  0.000  0.227
Ga  0.231  0.500  0.397
Pt  0.022  0.500  0.234
Pt  0.123  0.500  0.077
Pt  0.137  0.500  0.546

---

This entry pairs a crystal structure of Sm2GaPt4 with its calculated X-ray diffraction stick pattern. Radiation: Cu Kα, 1.54184 Å. Structure: a crystal structure in Alexandria, relaxed with PBE.
No peak broadening, texture or thermal motion is included.

Top 10 peaks for 10 to 80 degrees two-theta, by angle:
hkl  2θ/deg  Rel. int.
0 0 2  12.0  26.7
0 2 2  26.1  70.6
2 0 2  33.5  37.5
0 2 4  33.6  64.3
1 1 5  36.1  36.4
0 0 6  36.5  43.1
2 2 0  39.1  100.0
2 0 4  39.8  41.0
0 4 0  47.2  29.4
2 2 6  54.6  54.8

Cell and atoms:
Unit cell a=5.744 b=7.698 c=14.774 alpha=90.00 beta=90.00 gamma=90.00
Space group Fmmm (No. 69)
Symmetry-distinct sites (fractional):
Sm  0.000  0.000  0.137
Ga  0.000  0.000  0.500
Pt  0.000  0.000  0.328
Pt  0.250  0.250  0.000

---

This entry pairs a crystal structure of Sm2Ga2Pt15 with its calculated X-ray diffraction stick pattern. Radiation: Cu Kα, 1.54184 Å. Structure: a crystal structure in Alexandria, relaxed with PBE.
No peak broadening, texture or thermal motion is included.

Top 10 peaks for 10 to 80 degrees two-theta, by angle:
hkl  2θ/deg  Rel. int.
1 1 0  19.0  38.6
3 0 0  33.3  20.5
2 2 0  38.6  35.1
0 3 3  39.0  100.0
0 0 6  40.2  38.0
2 2 3  43.8  80.6
1 1 6  44.9  18.6
3 3 3  63.3  23.7
6 0 0  69.9  25.8
0 3 9  72.3  17.5

Cell and atoms:
Unit cell a=9.3270 b=9.3270 c=13.4490 alpha=90.00 beta=90.00 gamma=120.00
Space group R-3m (No. 166, hexagonal axes)
Symmetry-distinct sites (fractional):
Sm  0.0000  0.0000  0.1505
Ga  0.0000  0.0000  0.3996
Pt  0.0000  0.3218  0.5000
Pt  0.0000  0.5000  0.0000
Pt  0.0018  0.5009  0.6618

---

This entry pairs a crystal structure of Sm3Ga3Pt8 with its calculated X-ray diffraction stick pattern. Radiation: Cu Kα, 1.54184 Å. Structure: a crystal structure in Alexandria, relaxed with PBE.
No peak broadening, texture or thermal motion is included.

Top 10 peaks for 10 to 80 degrees two-theta, by angle:
hkl  2θ/deg  Rel. int.
4 0 -3  30.6  34.4
1 1 2  34.6  100.0
5 1 -2  35.1  50.7
5 1 -1  35.3  52.4
3 1 -3  36.1  24.7
5 1 -3  38.9  51.2
5 1 0  39.5  49.2
0 2 0  40.8  85.1
1 1 3  45.2  34.5
3 1 4  67.2  25.8

Cell and atoms:
Unit cell a=15.936 b=4.426 c=9.015 alpha=90.00 beta=123.33 gamma=90.00
Space group C2/m (No. 12)
Symmetry-distinct sites (fractional):
Sm  0.000  0.000  0.000
Sm  0.204  0.500  0.674
Ga  0.000  0.000  0.500
Ga  0.175  0.500  0.008
Pt  0.004  0.500  0.679
Pt  0.121  0.000  0.398
Pt  0.130  0.000  0.840
Pt  0.154  0.500  0.261

---

This entry pairs a crystal structure of Sm2Ga3Pt with its calculated X-ray diffraction stick pattern. Radiation: Cu Kα, 1.54184 Å. Structure: a crystal structure in Alexandria, relaxed with PBE.
No peak broadening, texture or thermal motion is included.

Top 10 peaks for 10 to 80 degrees two-theta, by angle:
hkl  2θ/deg  Rel. int.
0 0 1  11.4  20.6
1 0 2  33.1  48.6
1 1 1  33.3  100.0
0 1 3  40.5  54.0
0 2 0  41.0  26.6
2 0 0  48.0  16.9
1 0 4  53.1  13.1
1 2 2  53.6  24.6
2 1 3  64.6  27.5
2 2 0  64.9  15.0

Cell and atoms:
Unit cell a=3.791 b=4.402 c=7.748 alpha=90.00 beta=90.00 gamma=90.00
Space group Pmm2 (No. 25)
Symmetry-distinct sites (fractional):
Sm  0.000  0.000  0.000
Sm  0.000  0.500  0.476
Ga  0.500  0.000  0.655
Ga  0.500  0.500  0.152
Ga  0.500  0.500  0.823
Pt  0.500  0.000  0.323

---

This entry pairs a crystal structure of Sm2Ga6Pt9 with its calculated X-ray diffraction stick pattern. Radiation: Cu Kα, 1.54184 Å. Structure: a crystal structure in Alexandria, relaxed with PBE.
No peak broadening, texture or thermal motion is included.

Top 10 peaks for 10 to 80 degrees two-theta, by angle:
hkl  2θ/deg  Rel. int.
1 0 0  18.3  38.9
0 0 3  22.1  35.3
1 0 3  28.9  38.8
2 0 0  37.1  88.9
1 1 3  39.3  75.4
2 0 3  43.7  100.0
0 0 6  45.2  27.6
2 0 6  59.8  37.2
3 0 3  62.0  19.6
2 2 0  66.9  29.8

Cell and atoms:
Unit cell a=5.5916 b=5.5916 c=12.0459 alpha=90.00 beta=90.00 gamma=120.00
Space group P6/mmm (No. 191)
Symmetry-distinct sites (fractional):
Sm  0.0000  0.0000  0.1967
Ga  0.3333  0.6667  0.1639
Ga  0.3333  0.6667  0.5000
Pt  0.0000  0.5000  0.0000
Pt  0.0000  0.5000  0.3309

---

This entry pairs a crystal structure of Ga2Sn2Pt3 with its calculated X-ray diffraction stick pattern. Radiation: Cu Kα, 1.54184 Å. Structure: a crystal structure in Alexandria, relaxed with PBE.
No peak broadening, texture or thermal motion is included.

Top 10 peaks for 10 to 80 degrees two-theta, by angle:
hkl  2θ/deg  Rel. int.
0 0 1  17.2  55.7
2 0 1  25.1  36.8
4 0 0  29.1  25.4
1 1 1  29.3  33.2
3 1 -1  32.2  100.0
2 0 2  41.1  23.5
3 1 -2  42.2  86.6
5 1 0  42.6  89.9
0 2 0  42.8  61.3
1 1 2  43.2  61.1

Cell and atoms:
Unit cell a=12.668 b=4.226 c=5.337 alpha=90.00 beta=104.43 gamma=90.00
Space group C2/m (No. 12)
Symmetry-distinct sites (fractional):
Ga  0.188  0.000  0.329
Sn  0.069  0.500  0.762
Pt  0.000  0.000  0.000
Pt  0.211  0.000  0.816

---

This entry pairs a crystal structure of Sr3Ga8Pt3 with its calculated X-ray diffraction stick pattern. Radiation: Cu Kα, 1.54184 Å. Structure: a crystal structure in Alexandria, relaxed with PBE.
No peak broadening, texture or thermal motion is included.

Top 10 peaks for 10 to 80 degrees two-theta, by angle:
hkl  2θ/deg  Rel. int.
0 1 1  10.9  19.0
0 0 2  13.9  43.7
1 2 1  27.3  34.4
1 3 0  32.7  22.0
1 2 3  33.9  100.0
0 4 0  34.3  16.6
0 4 2  37.2  27.4
2 0 0  40.8  56.5
1 2 5  44.5  44.2
1 6 3  61.2  24.1

Cell and atoms:
Unit cell a=4.422 b=10.444 c=12.756 alpha=90.00 beta=90.00 gamma=90.00
Space group Immm (No. 71)
Symmetry-distinct sites (fractional):
Sr  0.000  0.000  0.000
Sr  0.000  0.000  0.330
Ga  0.000  0.287  0.113
Ga  0.000  0.355  0.318
Pt  0.000  0.256  0.500
Pt  0.000  0.500  0.000

---

Q: Which formula does entry 10 have?
A: Sm2Ga6Pt9